[1]
# NaLi2NdBi2
Theoretical powder diffraction line list, Cu Kα (λ = 1.5418 Å). Input: a cell relaxed with GGA-PBE.
No peak broadening, texture or thermal motion is included.

Atomic structure:
```
data_NaLi2NdBi2
_cell_length_a 4.8110
_cell_length_b 4.8110
_cell_length_c 7.6579
_cell_angle_alpha 90.00
_cell_angle_beta 90.00
_cell_angle_gamma 120.00
_symmetry_space_group_name_H-M 'P -3 m 1'
_symmetry_Int_Tables_number 164
_symmetry_space_group_name_Hall '-P 3 2"'
loop_
_atom_site_label
_atom_site_fract_x
_atom_site_fract_y
_atom_site_fract_z
Na1 0.0000 0.0000 0.0000
Li1 0.3333 0.6667 0.1659
Nd1 0.0000 0.0000 0.5000
Bi1 0.3333 0.6667 0.7441
```

Peak list (6 most intense, 2θ from 15° to 90°, low angle first)
- 2θ 24.32, I 100, (0 1 1)
- 2θ 31.74, I 55, (0 1 2)
- 2θ 37.38, I 44, (1 1 0)
- 2θ 41.49, I 27, (1 0 3)
- 2θ 45.10, I 20, (2 0 1)
- 2θ 61.95, I 19, (1 1 4)

---

[2]
# NaLi2Bi2Pb
Theoretical powder diffraction line list, Cu Kα (λ = 1.5418 Å). Input: a cell relaxed with GGA-PBE.
No peak broadening, texture or thermal motion is included.

Atomic structure:
```
data_NaLi2Bi2Pb
_cell_length_a 5.1731
_cell_length_b 5.1731
_cell_length_c 6.5602
_cell_angle_alpha 90.00
_cell_angle_beta 90.00
_cell_angle_gamma 120.00
_symmetry_space_group_name_H-M 'P -3 m 1'
_symmetry_Int_Tables_number 164
_symmetry_space_group_name_Hall '-P 3 2"'
loop_
_atom_site_label
_atom_site_fract_x
_atom_site_fract_y
_atom_site_fract_z
Na1 0.0000 0.0000 0.0000
Li1 0.3333 0.6667 0.7060
Bi1 0.3333 0.6667 0.2098
Pb1 0.0000 0.0000 0.5000
```

Peak list (6 most intense, 2θ from 15° to 90°, low angle first)
- 2θ 24.05, I 100, (1 0 1)
- 2θ 33.87, I 52, (0 1 2)
- 2θ 34.68, I 51, (1 1 0)
- 2θ 42.65, I 23, (0 2 1)
- 2θ 56.09, I 23, (2 1 1)
- 2θ 61.64, I 19, (1 2 2)

---

[3]
# NaLiBiS2
Theoretical powder diffraction line list, Cu Kα (λ = 1.5418 Å). Input: a cell relaxed with GGA-PBE.
No peak broadening, texture or thermal motion is included.

Atomic structure:
```
data_NaLiBiS2
_cell_length_a 4.5073
_cell_length_b 3.8608
_cell_length_c 7.4935
_cell_angle_alpha 90.00
_cell_angle_beta 99.34
_cell_angle_gamma 90.00
_symmetry_space_group_name_H-M 'P 1 2/m 1'
_symmetry_Int_Tables_number 10
loop_
_symmetry_equiv_pos_as_xyz
'x,y,z'
'-x,-y,-z'
'-x,y,-z'
'x,-y,z'
loop_
_atom_site_label
_atom_site_fract_x
_atom_site_fract_y
_atom_site_fract_z
Na1 0.0000 0.0000 0.0000
Li1 0.0000 0.0000 0.5000
Bi1 0.5000 0.5000 0.5000
S1 0.0646 0.5000 0.7358
```

Peak list (6 most intense, 2θ from 15° to 90°, low angle first)
- 2θ 21.58, I 53, (1 0 -1)
- 2θ 23.04, I 76, (0 1 0)
- 2θ 24.98, I 63, (1 0 1)
- 2θ 26.04, I 100, (0 1 1)
- 2θ 37.19, I 63, (1 1 -2)
- 2θ 41.43, I 49, (1 1 2)

---

[4]
# Na2Sr2LiBi4
Theoretical powder diffraction line list, Cu Kα (λ = 1.5418 Å). Input: a cell relaxed with GGA-PBE.
No peak broadening, texture or thermal motion is included.

Atomic structure:
```
data_Na2Sr2LiBi4
_cell_length_a 7.5925
_cell_length_b 7.5925
_cell_length_c 9.7635
_cell_angle_alpha 90.00
_cell_angle_beta 90.00
_cell_angle_gamma 90.00
_symmetry_space_group_name_H-M 'I 4/m m m'
_symmetry_Int_Tables_number 139
_symmetry_space_group_name_Hall '-I 4 2'
loop_
_atom_site_label
_atom_site_fract_x
_atom_site_fract_y
_atom_site_fract_z
Na1 0.0000 0.0000 0.2076
Sr1 0.0000 0.5000 0.2500
Li1 0.0000 0.0000 0.5000
Bi1 0.2423 0.2423 0.0000
```

Peak list (6 most intense, 2θ from 15° to 90°, low angle first)
- 2θ 18.17, I 28, (0 0 2)
- 2θ 23.43, I 29, (2 0 0)
- 2θ 29.81, I 100, (2 0 2)
- 2θ 33.38, I 38, (2 2 0)
- 2θ 50.54, I 23, (2 2 4)
- 2θ 57.47, I 31, (4 2 2)

---

[5]
# Li2Nd5Bi5
Theoretical powder diffraction line list, Cu Kα (λ = 1.5418 Å). Input: a cell relaxed with GGA-PBE.
No peak broadening, texture or thermal motion is included.

Atomic structure:
```
data_Li2Nd5Bi5
_cell_length_a 15.1856
_cell_length_b 4.5292
_cell_length_c 12.6437
_cell_angle_alpha 90.00
_cell_angle_beta 115.86
_cell_angle_gamma 90.00
_symmetry_space_group_name_H-M 'C 1 2/m 1'
_symmetry_Int_Tables_number 12
loop_
_symmetry_equiv_pos_as_xyz
'x,y,z'
'-x,-y,-z'
'-x,y,-z'
'x,-y,z'
'x+1/2,y+1/2,z'
'-x+1/2,-y+1/2,-z'
'-x+1/2,y+1/2,-z'
'x+1/2,-y+1/2,z'
loop_
_atom_site_label
_atom_site_fract_x
_atom_site_fract_y
_atom_site_fract_z
Li1 0.0733 0.0000 0.2844
Nd1 0.0000 0.5000 0.0000
Nd2 0.1557 0.5000 0.5208
Nd3 0.2134 0.5000 0.8365
Bi1 0.0000 0.0000 0.5000
Bi2 0.1053 0.0000 0.9143
Bi3 0.1931 0.5000 0.2827
```

Peak list (6 most intense, 2θ from 15° to 90°, low angle first)
- 2θ 24.34, I 96, (2 0 2)
- 2θ 26.42, I 97, (3 1 -1)
- 2θ 27.37, I 62, (3 1 -2)
- 2θ 30.44, I 96, (3 1 -3)
- 2θ 35.37, I 69, (1 1 -4)
- 2θ 38.42, I 100, (6 0 -4)

---

[6]
# Li4NdBi2
Theoretical powder diffraction line list, Cu Kα (λ = 1.5418 Å). Input: a cell relaxed with GGA-PBE.
No peak broadening, texture or thermal motion is included.

Atomic structure:
```
data_Li4NdBi2
_cell_length_a 8.3543
_cell_length_b 8.3543
_cell_length_c 4.6169
_cell_angle_alpha 90.00
_cell_angle_beta 90.00
_cell_angle_gamma 90.00
_symmetry_space_group_name_H-M 'P 42/m n m'
_symmetry_Int_Tables_number 136
_symmetry_space_group_name_Hall '-P 4n 2n'
loop_
_atom_site_label
_atom_site_fract_x
_atom_site_fract_y
_atom_site_fract_z
Li1 0.0998 0.3426 0.0000
Nd1 0.0000 0.0000 0.5000
Bi1 0.2113 0.7887 0.0000
```

Peak list (6 most intense, 2θ from 15° to 90°, low angle first)
- 2θ 23.82, I 25, (2 1 0)
- 2θ 24.47, I 100, (1 1 1)
- 2θ 30.26, I 45, (2 2 0)
- 2θ 30.79, I 45, (2 1 1)
- 2θ 37.72, I 40, (3 0 1)
- 2θ 39.29, I 40, (3 1 1)

---

[7]
# Li2NdSm2Bi2
Theoretical powder diffraction line list, Cu Kα (λ = 1.5418 Å). Input: a cell relaxed with GGA-PBE.
No peak broadening, texture or thermal motion is included.

Atomic structure:
```
data_Li2NdSm2Bi2
_cell_length_a 4.9164
_cell_length_b 4.9164
_cell_length_c 27.4993
_cell_angle_alpha 90.00
_cell_angle_beta 90.00
_cell_angle_gamma 120.00
_symmetry_space_group_name_H-M 'R -3 m'
_symmetry_Int_Tables_number 166
_symmetry_space_group_name_Hall '-R 3 2"'
loop_
_atom_site_label
_atom_site_fract_x
_atom_site_fract_y
_atom_site_fract_z
Li1 0.0000 0.0000 0.0898
Nd1 0.0000 0.0000 0.5000
Sm1 0.0000 0.0000 0.3691
Bi1 0.0000 0.0000 0.2359
```

Peak list (6 most intense, 2θ from 15° to 90°, low angle first)
- 2θ 21.11, I 49, (1 0 1)
- 2θ 21.85, I 37, (0 1 2)
- 2θ 30.97, I 87, (1 0 7)
- 2θ 33.51, I 92, (0 1 8)
- 2θ 36.55, I 100, (1 1 0)
- 2θ 63.28, I 39, (1 1 15)

---

[8]
# LiTbNdBi
Theoretical powder diffraction line list, Cu Kα (λ = 1.5418 Å). Input: a cell relaxed with GGA-PBE.
No peak broadening, texture or thermal motion is included.

Atomic structure:
```
data_LiTbNdBi
_cell_length_a 7.6182
_cell_length_b 7.6182
_cell_length_c 7.6182
_cell_angle_alpha 90.00
_cell_angle_beta 90.00
_cell_angle_gamma 90.00
_symmetry_space_group_name_H-M 'F -4 3 m'
_symmetry_Int_Tables_number 216
_symmetry_space_group_name_Hall 'F -4 2 3'
loop_
_atom_site_label
_atom_site_fract_x
_atom_site_fract_y
_atom_site_fract_z
Li1 0.0000 0.0000 0.0000
Tb1 0.2500 0.2500 0.7500
Nd1 0.2500 0.2500 0.2500
Bi1 0.0000 0.0000 0.5000
```

Peak list (6 most intense, 2θ from 15° to 90°, low angle first)
- 2θ 20.19, I 35, (1 1 1)
- 2θ 33.26, I 100, (2 2 0)
- 2θ 39.22, I 20, (3 1 1)
- 2θ 47.75, I 18, (4 0 0)
- 2θ 59.44, I 39, (4 2 2)
- 2θ 79.59, I 17, (6 2 0)

---

[9]
# Li2Tb2NdBi2
Theoretical powder diffraction line list, Cu Kα (λ = 1.5418 Å). Input: a cell relaxed with GGA-PBE.
No peak broadening, texture or thermal motion is included.

Atomic structure:
```
data_Li2Tb2NdBi2
_cell_length_a 4.9061
_cell_length_b 4.9061
_cell_length_c 27.0613
_cell_angle_alpha 90.00
_cell_angle_beta 90.00
_cell_angle_gamma 120.00
_symmetry_space_group_name_H-M 'R -3 m'
_symmetry_Int_Tables_number 166
_symmetry_space_group_name_Hall '-R 3 2"'
loop_
_atom_site_label
_atom_site_fract_x
_atom_site_fract_y
_atom_site_fract_z
Li1 0.0000 0.0000 0.0867
Tb1 0.0000 0.0000 0.3683
Nd1 0.0000 0.0000 0.5000
Bi1 0.0000 0.0000 0.2373
```

Peak list (6 most intense, 2θ from 15° to 90°, low angle first)
- 2θ 21.17, I 52, (1 0 1)
- 2θ 21.93, I 37, (0 1 2)
- 2θ 31.28, I 82, (1 0 7)
- 2θ 33.87, I 94, (0 1 8)
- 2θ 36.63, I 100, (1 1 0)
- 2θ 64.07, I 37, (1 1 15)

---

[10]
# Li2NdY2Bi2
Theoretical powder diffraction line list, Cu Kα (λ = 1.5418 Å). Input: a cell relaxed with GGA-PBE.
No peak broadening, texture or thermal motion is included.

Atomic structure:
```
data_Li2NdY2Bi2
_cell_length_a 4.8892
_cell_length_b 4.8892
_cell_length_c 27.2180
_cell_angle_alpha 90.00
_cell_angle_beta 90.00
_cell_angle_gamma 120.00
_symmetry_space_group_name_H-M 'R -3 m'
_symmetry_Int_Tables_number 166
_symmetry_space_group_name_Hall '-R 3 2"'
loop_
_atom_site_label
_atom_site_fract_x
_atom_site_fract_y
_atom_site_fract_z
Li1 0.0000 0.0000 0.0869
Nd1 0.0000 0.0000 0.5000
Y1 0.0000 0.0000 0.3679
Bi1 0.0000 0.0000 0.2372
```

Peak list (6 most intense, 2θ from 15° to 90°, low angle first)
- 2θ 21.24, I 37, (1 0 1)
- 2θ 21.98, I 48, (0 1 2)
- 2θ 24.77, I 59, (1 0 4)
- 2θ 31.23, I 78, (1 0 7)
- 2θ 33.80, I 92, (0 1 8)
- 2θ 36.76, I 100, (1 1 0)